1.
Starting from a crystal structure in the Materials Project, relaxed with GGA-PBE, the powder XRD pattern of DyGa3Ni2 was computed for Cu Kα X-rays.
Kinematic intensities with the Lorentz-polarization factor, no thermal factor.

Atomic structure:
a b c (Å): 9.004 9.004 4.064
angles (deg): 90.00 90.00 120.00
Fractional coordinates of all 18 atoms:
Dy: 0.000 0.000 0.000
Dy: 0.333 0.667 0.500
Dy: 0.667 0.333 0.500
Ga: 0.000 0.292 0.500
Ga: 0.000 0.500 0.000
Ga: 0.000 0.708 0.500
Ga: 0.292 0.000 0.500
Ga: 0.292 0.292 0.500
Ga: 0.500 0.000 0.000
Ga: 0.500 0.500 0.000
Ga: 0.708 0.000 0.500
Ga: 0.708 0.708 0.500
Ni: 0.183 0.366 0.000
Ni: 0.183 0.817 0.000
Ni: 0.366 0.183 0.000
Ni: 0.634 0.817 0.000
Ni: 0.817 0.183 0.000
Ni: 0.817 0.634 0.000

Most intense lines, 15° ≤ 2θ ≤ 90°, low angle first:
two_theta  Rel. int.
31.8  79
34.5  58
37.7  100
40.1  74
41.2  99
44.6  57


2.
Starting from a crystal structure in the Materials Project, relaxed with GGA-PBE, the powder XRD pattern of LiCuP4O12 was computed for Cu Kα X-rays.
Kinematic intensities with the Lorentz-polarization factor, no thermal factor.

Atomic structure:
a b c (Å): 7.815 7.815 8.337
angles (deg): 96.05 96.05 101.43
Fractional coordinates of all 36 atoms:
Li: 0.188 0.812 0.500
Li: 0.812 0.188 0.000
Cu: 0.532 0.830 0.798
Cu: 0.830 0.532 0.298
P: 0.146 0.487 0.124
P: 0.197 0.822 0.973
P: 0.468 0.617 0.360
P: 0.487 0.146 0.624
P: 0.617 0.468 0.860
P: 0.718 0.881 0.231
P: 0.822 0.197 0.473
P: 0.881 0.718 0.731
O: 0.001 0.830 0.889
O: 0.058 0.308 0.048
O: 0.065 0.581 0.261
O: 0.176 0.613 0.985
O: 0.242 0.936 0.130
O: 0.305 0.850 0.829
O: 0.308 0.058 0.548
O: 0.345 0.496 0.206
O: 0.371 0.652 0.500
O: 0.496 0.345 0.706
O: 0.527 0.623 0.894
O: 0.534 0.802 0.292
O: 0.581 0.065 0.761
O: 0.613 0.176 0.485
O: 0.623 0.527 0.394
O: 0.652 0.371 0.000
O: 0.693 0.981 0.091
O: 0.728 0.810 0.694
O: 0.802 0.534 0.792
O: 0.810 0.728 0.194
O: 0.830 0.001 0.389
O: 0.850 0.305 0.329
O: 0.936 0.242 0.630
O: 0.981 0.693 0.591

Most intense lines, 15° ≤ 2θ ≤ 90°, low angle first:
two_theta  Rel. int.
16.9  78
23.2  25
24.5  100
25.9  41
30.7  42
31.4  23


3.
Starting from a crystal structure in the Materials Project, relaxed with GGA-PBE, the powder XRD pattern of Rb2MgFe2S4 was computed for Cu Kα X-rays.
Kinematic intensities with the Lorentz-polarization factor, no thermal factor.

Atomic structure:
a b c (Å): 6.874 6.874 5.346
angles (deg): 102.19 102.19 116.54
Fractional coordinates of all 9 atoms:
Rb: 0.000 0.000 0.000
Rb: 0.767 0.233 0.500
Mg: 0.160 0.840 0.500
Fe: 0.422 0.578 0.500
Fe: 0.423 0.577 0.000
S: 0.141 0.530 0.156
S: 0.333 0.284 0.646
S: 0.470 0.859 0.844
S: 0.716 0.667 0.354

Most intense lines, 15° ≤ 2θ ≤ 90°, low angle first:
two_theta  Rel. int.
15.2  54
26.5  47
27.7  40
30.0  100
35.3  50
40.9  47


4.
Starting from a crystal structure in the Materials Project, relaxed with GGA-PBE, the powder XRD pattern of Zn3InCuS5 was computed for Cu Kα X-rays.
Kinematic intensities with the Lorentz-polarization factor, no thermal factor.

Atomic structure:
a b c (Å): 6.365 6.719 10.263
angles (deg): 109.08 90.01 90.01
Fractional coordinates of all 20 atoms:
Zn: 0.000 0.000 0.000
Zn: 0.001 0.207 0.410
Zn: 0.493 0.938 0.205
Zn: 0.499 0.335 0.006
Zn: 0.506 0.739 0.809
Zn: 0.998 0.804 0.612
In: 0.001 0.599 0.207
In: 0.499 0.137 0.608
Cu: 0.500 0.538 0.408
Cu: 0.999 0.408 0.807
S: 0.364 0.416 0.816
S: 0.370 0.210 0.398
S: 0.370 0.786 0.605
S: 0.372 0.005 0.008
S: 0.393 0.604 0.209
S: 0.864 0.535 0.417
S: 0.868 0.951 0.207
S: 0.870 0.327 0.996
S: 0.874 0.735 0.808
S: 0.892 0.140 0.609

Most intense lines, 15° ≤ 2θ ≤ 90°, low angle first:
two_theta  Rel. int.
26.5  80
28.0  54
30.1  100
46.8  41
50.9  64
55.5  43


5.
Starting from a crystal structure in the Materials Project, relaxed with GGA-PBE, the powder XRD pattern of Cs4IrO4 was computed for Cu Kα X-rays.
Kinematic intensities with the Lorentz-polarization factor, no thermal factor.

Atomic structure:
a b c (Å): 6.292 6.292 6.784
angles (deg): 105.83 105.83 65.60
Fractional coordinates of all 9 atoms:
Cs: 0.115 0.115 0.342
Cs: 0.309 0.309 0.909
Cs: 0.691 0.691 0.091
Cs: 0.885 0.885 0.658
Ir: 0.500 0.500 0.500
O: 0.193 0.595 0.317
O: 0.405 0.807 0.683
O: 0.595 0.193 0.317
O: 0.807 0.405 0.683

Most intense lines, 15° ≤ 2θ ≤ 90°, low angle first:
two_theta  Rel. int.
25.9  50
26.1  53
29.0  100
29.4  86
37.1  51
48.2  39


6.
Starting from a crystal structure in the Materials Project, relaxed with GGA-PBE, the powder XRD pattern of Dy2Ga5Cu12 was computed for Cu Kα X-rays.
Kinematic intensities with the Lorentz-polarization factor, no thermal factor.

Atomic structure:
a b c (Å): 6.554 6.554 6.554
angles (deg): 83.32 83.32 83.32
Fractional coordinates of all 19 atoms:
Dy: 0.153 0.153 0.153
Dy: 0.847 0.847 0.847
Ga: 0.000 0.500 0.500
Ga: 0.400 0.400 0.400
Ga: 0.500 0.000 0.500
Ga: 0.500 0.500 0.000
Ga: 0.600 0.600 0.600
Cu: 0.152 0.152 0.664
Cu: 0.152 0.664 0.152
Cu: 0.188 0.500 0.812
Cu: 0.188 0.812 0.500
Cu: 0.336 0.848 0.848
Cu: 0.500 0.188 0.812
Cu: 0.500 0.812 0.188
Cu: 0.664 0.152 0.152
Cu: 0.812 0.188 0.500
Cu: 0.812 0.500 0.188
Cu: 0.848 0.336 0.848
Cu: 0.848 0.848 0.336

Most intense lines, 15° ≤ 2θ ≤ 90°, low angle first:
two_theta  Rel. int.
29.5  25
35.7  44
41.5  56
41.9  100
43.1  28
47.0  28